Record 1
Diffraction record for CaAs. The powder XRD pattern is calculated, not measured: it uses the GGA-PBE geometry in the Materials Project and Cu Kα, 1.54184 Å.
Kinematic intensities with the Lorentz-polarization factor, no thermal factor.

The 8 most intense peaks (15° ≤ 2θ ≤ 90°), low angle first:
| h k l | Position (°2θ) | I_rel |
| --- | --- | --- |
| 1 1 0 | 22.5 | 71 |
| 1 1 1 | 27.1 | 39 |
| 1 1 2 | 38.0 | 100 |
| 3 0 0 | 39.4 | 72 |
| 2 2 0 | 45.9 | 11 |
| 2 2 2 | 55.9 | 30 |
| 4 1 2 | 70.5 | 30 |
| 3 0 4 | 76.7 | 11 |

Structure:
abc: 7.9162 7.9162 5.9208
angles: 90.00 90.00 120.00
Space group P-62m (No. 189)
One atom of each set of equivalent atoms:
Ca 0.0000 0.3492 0.0000
Ca 0.0000 0.6831 0.5000
As 0.0000 0.0000 0.2141
As 0.3333 0.6667 0.2811

=====

Record 2
Diffraction record for LiSb3. The powder XRD pattern is calculated, not measured: it uses the GGA-PBE geometry in the Materials Project and Cu Kα, 1.54184 Å.
Kinematic intensities with the Lorentz-polarization factor, no thermal factor.

The 8 most intense peaks (15° ≤ 2θ ≤ 90°), low angle first:
| h k l | Position (°2θ) | I_rel |
| --- | --- | --- |
| 1 0 0 | 19.0 | 30 |
| 1 1 0 | 26.9 | 26 |
| 1 1 1 | 33.1 | 100 |
| 2 0 0 | 38.5 | 50 |
| 2 1 0 | 43.2 | 14 |
| 2 2 0 | 55.5 | 34 |
| 3 1 1 | 66.2 | 39 |
| 2 2 2 | 69.6 | 11 |

Structure:
abc: 4.681 4.681 4.681
angles: 90.00 90.00 90.00
Space group Pm-3m (No. 221)
One atom of each set of equivalent atoms:
Li 0.000 0.000 0.000
Sb 0.000 0.500 0.500

=====

Record 3
Diffraction record for LiMg2. The powder XRD pattern is calculated, not measured: it uses the GGA-PBE geometry in the Materials Project and Cu Kα, 1.54184 Å.
Kinematic intensities with the Lorentz-polarization factor, no thermal factor.

The 8 most intense peaks (15° ≤ 2θ ≤ 90°), low angle first:
| h k l | Position (°2θ) | I_rel |
| --- | --- | --- |
| 1 3 0 | 33.2 | 25 |
| 1 1 1 | 34.3 | 24 |
| 0 0 2 | 34.9 | 42 |
| 0 6 1 | 37.1 | 54 |
| 1 3 1 | 37.7 | 100 |
| 1 9 0 | 58.5 | 18 |
| 1 3 3 | 64.5 | 19 |
| 1 9 2 | 70.0 | 20 |

Structure:
abc: 3.095 16.512 5.136
angles: 90.00 90.00 90.00
Space group Cmcm (No. 63)
One atom of each set of equivalent atoms:
Li 0.000 0.221 0.250
Mg 0.000 0.113 0.750
Mg 0.000 0.443 0.750

=====

Record 4
Diffraction record for Dy2NiSb4. The powder XRD pattern is calculated, not measured: it uses the GGA-PBE geometry in the Materials Project and Cu Kα, 1.54184 Å.
Kinematic intensities with the Lorentz-polarization factor, no thermal factor.

The 8 most intense peaks (15° ≤ 2θ ≤ 90°), low angle first:
| h k l | Position (°2θ) | I_rel |
| --- | --- | --- |
| 0 0 3 | 28.7 | 20 |
| 1 1 1 | 30.8 | 47 |
| 1 1 2 | 35.1 | 100 |
| 1 0 3 | 35.6 | 51 |
| 2 0 0 | 41.8 | 57 |
| 2 1 3 | 56.0 | 28 |
| 2 2 0 | 60.6 | 19 |
| 3 1 2 | 72.0 | 24 |

Structure:
abc: 4.322 4.322 9.317
angles: 90.00 90.00 90.00
Space group P-4m2 (No. 115)
One atom of each set of equivalent atoms:
Dy 0.000 0.500 0.237
Ni 0.000 0.000 0.000
Sb 0.000 0.000 0.500
Sb 0.000 0.500 0.869
Sb 0.500 0.500 0.500

=====

Record 5
Diffraction record for NdTiCdSbO7. The powder XRD pattern is calculated, not measured: it uses the GGA-PBE geometry in the Materials Project and Cu Kα, 1.54184 Å.
Kinematic intensities with the Lorentz-polarization factor, no thermal factor.

The 8 most intense peaks (15° ≤ 2θ ≤ 90°), low angle first:
| h k l | Position (°2θ) | I_rel |
| --- | --- | --- |
| 0 2 2 | 29.3 | 100 |
| 2 0 2 | 30.1 | 91 |
| 2 2 0 | 34.3 | 40 |
| 0 0 4 | 34.7 | 19 |
| 2 2 4 | 49.6 | 58 |
| 2 4 2 | 58.0 | 27 |
| 4 2 2 | 59.3 | 26 |
| 4 2 6 | 81.1 | 15 |

Structure:
abc: 7.263 7.531 10.335
angles: 90.00 90.00 90.00
Space group Imma (No. 74)
One atom of each set of equivalent atoms:
Nd 0.000 0.000 0.000
Ti 0.250 0.250 0.250
Cd 0.250 0.250 0.750
Sb 0.000 0.000 0.500
O 0.000 0.250 0.177
O 0.000 0.250 0.577
O 0.000 0.250 0.869
O 0.202 0.058 0.377